Entry 1:
Computed X-ray diffraction stick pattern of CsRb2Ag3Bi2 for a wavelength of 1.5418 Å, from a cell relaxed with PBE.

Structural model:
```
data_CsRb2Ag3Bi2
_cell_length_a 6.5205
_cell_length_b 6.5205
_cell_length_c 23.3920
_cell_angle_alpha 90.00
_cell_angle_beta 90.00
_cell_angle_gamma 120.00
_space_group_name_H-M_alt 'R -3 m'
_space_group_IT_number 166
_space_group_name_Hall '-R 3 2"'
loop_
_atom_site_label
_atom_site_fract_x
_atom_site_fract_y
_atom_site_fract_z
Cs1 0.0000 0.0000 0.0000
Rb1 0.0000 0.0000 0.4159
Ag1 0.0000 0.5000 0.5000
Bi1 0.0000 0.0000 0.2564
```

The 10 most intense peaks (10 to 90 degrees two-theta), sorted by position:
2θ = 17.44°, intensity 73, hkl 0 1 2
2θ = 21.88°, intensity 52, hkl 1 0 4
2θ = 24.71°, intensity 35, hkl 0 1 5
2θ = 27.36°, intensity 100, hkl 1 1 0
2θ = 29.70°, intensity 39, hkl 1 1 3
2θ = 31.10°, intensity 51, hkl 1 0 7
2θ = 35.30°, intensity 88, hkl 0 2 4
2θ = 35.91°, intensity 84, hkl 1 1 6
2θ = 44.61°, intensity 46, hkl 2 0 8
2θ = 56.45°, intensity 40, hkl 2 2 0


Entry 2:
Computed X-ray diffraction stick pattern of CsRbAgBi for a wavelength of 1.5418 Å, from a cell relaxed with PBE.

Structural model:
```
data_CsRbAgBi
_cell_length_a 6.8149
_cell_length_b 8.6842
_cell_length_c 11.4678
_cell_angle_alpha 90.00
_cell_angle_beta 90.00
_cell_angle_gamma 90.00
_space_group_name_H-M_alt 'A m a 2'
_space_group_IT_number 40
loop_
_space_group_symop_operation_xyz
'x,y,z'
'-x,-y,z'
'-x+1/2,y,z'
'x+1/2,-y,z'
'x,y+1/2,z+1/2'
'-x,-y+1/2,z+1/2'
'-x+1/2,y+1/2,z+1/2'
'x+1/2,-y+1/2,z+1/2'
loop_
_atom_site_label
_atom_site_fract_x
_atom_site_fract_y
_atom_site_fract_z
Cs1 0.2500 0.1519 0.0000
Rb1 0.2500 0.1528 0.3434
Ag1 0.0000 0.0000 0.6756
Bi1 0.2500 0.2583 0.6695
```

The 10 most intense peaks (10 to 90 degrees two-theta), sorted by position:
2θ = 15.45°, intensity 29, hkl 0 0 2
2θ = 18.27°, intensity 30, hkl 1 1 1
2θ = 25.46°, intensity 24, hkl 0 1 3
2θ = 28.68°, intensity 100, hkl 1 1 3
2θ = 29.21°, intensity 22, hkl 2 1 1
2θ = 33.43°, intensity 35, hkl 2 2 0
2θ = 34.56°, intensity 23, hkl 1 3 1
2θ = 37.02°, intensity 27, hkl 2 2 2
2θ = 47.58°, intensity 26, hkl 0 0 6
2θ = 47.74°, intensity 25, hkl 3 1 3


Entry 3:
Computed X-ray diffraction stick pattern of Cs2AgBi3S6 for a wavelength of 1.5418 Å, from a cell relaxed with PBE.

Structural model:
```
data_Cs2AgBi3S6
_cell_length_a 7.2715
_cell_length_b 4.2092
_cell_length_c 23.1641
_cell_angle_alpha 90.00
_cell_angle_beta 90.04
_cell_angle_gamma 90.00
_space_group_name_H-M_alt 'C 1 m 1'
_space_group_IT_number 8
loop_
_space_group_symop_operation_xyz
'x,y,z'
'x,-y,z'
'x+1/2,y+1/2,z'
'x+1/2,-y+1/2,z'
loop_
_atom_site_label
_atom_site_fract_x
_atom_site_fract_y
_atom_site_fract_z
Cs1 0.0000 0.0000 0.0000
Cs2 0.0064 0.0000 0.5139
Ag1 0.0009 0.0000 0.8550
Bi1 0.1705 0.5000 0.1805
Bi2 0.3388 0.0000 0.3311
Bi3 0.3390 0.0000 0.6828
S1 0.0046 0.0000 0.2554
S2 0.0054 0.0000 0.7440
S3 0.1673 0.5000 0.8919
S4 0.1725 0.5000 0.3912
S5 0.1724 0.5000 0.6112
S6 0.3366 0.0000 0.1198
```

The 10 most intense peaks (10 to 90 degrees two-theta), sorted by position:
2θ = 23.04°, intensity 55, hkl 0 0 6
2θ = 24.76°, intensity 43, hkl 1 1 1
2θ = 25.65°, intensity 62, hkl 2 0 -2
2θ = 27.08°, intensity 100, hkl 2 0 3
2θ = 28.97°, intensity 59, hkl 1 1 -4
2θ = 31.25°, intensity 53, hkl 1 1 -5
2θ = 39.78°, intensity 45, hkl 2 0 -8
2θ = 43.00°, intensity 49, hkl 0 2 0
2θ = 43.07°, intensity 53, hkl 3 1 0
2θ = 49.37°, intensity 45, hkl 3 1 6


Entry 4:
Computed X-ray diffraction stick pattern of CsAgBi2S4 for a wavelength of 1.5418 Å, from a cell relaxed with PBE.

Structural model:
```
data_CsAgBi2S4
_cell_length_a 4.1331
_cell_length_b 4.1331
_cell_length_c 28.7001
_cell_angle_alpha 90.00
_cell_angle_beta 90.00
_cell_angle_gamma 120.00
_space_group_name_H-M_alt 'P 63/m m c'
_space_group_IT_number 194
_space_group_name_Hall '-P 6c 2c'
loop_
_atom_site_label
_atom_site_fract_x
_atom_site_fract_y
_atom_site_fract_z
Cs1 0.3333 0.6667 0.2500
Ag1 0.0000 0.0000 0.0000
Bi1 0.3333 0.6667 0.6079
S1 0.0000 0.0000 0.1625
S2 0.3333 0.6667 0.0521
```

The 10 most intense peaks (10 to 90 degrees two-theta), sorted by position:
2θ = 24.83°, intensity 31, hkl 0 0 8
2θ = 26.59°, intensity 100, hkl 1 0 3
2θ = 27.85°, intensity 21, hkl 1 0 4
2θ = 29.41°, intensity 36, hkl 1 0 5
2θ = 31.21°, intensity 71, hkl 1 0 6
2θ = 33.23°, intensity 32, hkl 1 0 7
2θ = 42.89°, intensity 42, hkl 1 0 11
2θ = 43.81°, intensity 56, hkl 1 1 0
2θ = 51.00°, intensity 23, hkl 1 1 8
2θ = 54.75°, intensity 19, hkl 2 0 6


Entry 5:
Computed X-ray diffraction stick pattern of Cs4Ag2BiSb for a wavelength of 1.5418 Å, from a cell relaxed with PBE.

Structural model:
```
data_Cs4Ag2BiSb
_cell_length_a 6.9423
_cell_length_b 11.7032
_cell_length_c 8.5813
_cell_angle_alpha 90.00
_cell_angle_beta 90.00
_cell_angle_gamma 90.00
_space_group_name_H-M_alt 'A m m 2'
_space_group_IT_number 38
loop_
_space_group_symop_operation_xyz
'x,y,z'
'-x,-y,z'
'-x,y,z'
'x,-y,z'
'x,y+1/2,z+1/2'
'-x,-y+1/2,z+1/2'
'-x,y+1/2,z+1/2'
'x,-y+1/2,z+1/2'
loop_
_atom_site_label
_atom_site_fract_x
_atom_site_fract_y
_atom_site_fract_z
Cs1 0.0000 0.1684 0.0000
Cs2 0.5000 0.1699 0.6884
Ag1 0.2536 0.0000 0.3399
Bi1 0.0000 0.0000 0.5952
Sb1 0.5000 0.0000 0.0928
```

The 10 most intense peaks (10 to 90 degrees two-theta), sorted by position:
2θ = 24.39°, intensity 30, hkl 1 0 2
2θ = 25.08°, intensity 32, hkl 0 3 1
2θ = 25.66°, intensity 21, hkl 2 0 0
2θ = 28.23°, intensity 100, hkl 1 3 1
2θ = 28.79°, intensity 36, hkl 2 1 1
2θ = 32.22°, intensity 15, hkl 0 1 3
2θ = 33.20°, intensity 32, hkl 2 0 2
2θ = 36.67°, intensity 18, hkl 2 2 2
2θ = 46.86°, intensity 25, hkl 3 3 1
2θ = 47.31°, intensity 25, hkl 2 3 3


Entry 6:
Computed X-ray diffraction stick pattern of Cu2AgBiPbS4 for a wavelength of 1.5418 Å, from a cell relaxed with PBE.

Structural model:
```
data_Cu2AgBiPbS4
_cell_length_a 12.7740
_cell_length_b 4.0278
_cell_length_c 14.7851
_cell_angle_alpha 90.00
_cell_angle_beta 90.00
_cell_angle_gamma 90.00
_space_group_name_H-M_alt 'P n m a'
_space_group_IT_number 62
loop_
_space_group_symop_operation_xyz
'x,y,z'
'-x,-y,-z'
'-x+1/2,-y,z+1/2'
'x+1/2,y,-z+1/2'
'x+1/2,-y+1/2,-z+1/2'
'-x+1/2,y+1/2,z+1/2'
'-x,y+1/2,-z'
'x,-y+1/2,z'
loop_
_atom_site_label
_atom_site_fract_x
_atom_site_fract_y
_atom_site_fract_z
Cu1 0.0514 0.2500 0.0310
Cu2 0.0522 0.2500 0.8452
Ag1 0.1754 0.7500 0.9245
Bi1 0.0649 0.7500 0.3927
Pb1 0.2145 0.7500 0.6646
S1 0.0012 0.2500 0.2789
S2 0.1040 0.7500 0.0894
S3 0.1291 0.2500 0.5297
S4 0.2219 0.2500 0.8123
```

The 10 most intense peaks (10 to 90 degrees two-theta), sorted by position:
2θ = 24.10°, intensity 100, hkl 0 0 4
2θ = 26.15°, intensity 51, hkl 2 1 0
2θ = 26.85°, intensity 76, hkl 2 1 1
2θ = 28.60°, intensity 53, hkl 4 0 1
2θ = 29.48°, intensity 87, hkl 1 1 3
2θ = 31.93°, intensity 41, hkl 2 1 3
2θ = 33.65°, intensity 54, hkl 1 1 4
2θ = 35.85°, intensity 44, hkl 2 1 4
2θ = 42.35°, intensity 72, hkl 5 1 1
2θ = 45.01°, intensity 47, hkl 0 2 0


Entry 7:
Computed X-ray diffraction stick pattern of DyErAg2Bi4 for a wavelength of 1.5418 Å, from a cell relaxed with PBE.

Structural model:
```
data_DyErAg2Bi4
_cell_length_a 4.5298
_cell_length_b 4.5298
_cell_length_c 10.2291
_cell_angle_alpha 90.00
_cell_angle_beta 90.00
_cell_angle_gamma 90.00
_space_group_name_H-M_alt 'P 4 m m'
_space_group_IT_number 99
loop_
_space_group_symop_operation_xyz
'x,y,z'
'-y,x,z'
'-x,-y,z'
'y,-x,z'
'-x,y,z'
'y,x,z'
'x,-y,z'
'-y,-x,z'
loop_
_atom_site_label
_atom_site_fract_x
_atom_site_fract_y
_atom_site_fract_z
Dy1 0.0000 0.0000 0.0000
Er1 0.5000 0.5000 0.4963
Ag1 0.0000 0.5000 0.7474
Bi1 0.0000 0.0000 0.5551
Bi2 0.0000 0.5000 0.2489
Bi3 0.5000 0.5000 0.9402
```

The 10 most intense peaks (10 to 90 degrees two-theta), sorted by position:
2θ = 26.13°, intensity 8, hkl 0 0 3
2θ = 26.28°, intensity 9, hkl 1 0 2
2θ = 29.22°, intensity 9, hkl 1 1 1
2θ = 33.00°, intensity 100, hkl 1 1 2
2θ = 35.09°, intensity 14, hkl 0 0 4
2θ = 39.80°, intensity 35, hkl 2 0 0
2θ = 48.27°, intensity 10, hkl 2 0 3
2θ = 54.09°, intensity 16, hkl 2 0 4
2θ = 57.55°, intensity 12, hkl 2 2 0
2θ = 67.96°, intensity 25, hkl 3 1 2


Entry 8:
Computed X-ray diffraction stick pattern of DyYAg2Bi4 for a wavelength of 1.5418 Å, from a cell relaxed with PBE.

Structural model:
```
data_DyYAg2Bi4
_cell_length_a 4.5259
_cell_length_b 4.5259
_cell_length_c 10.2813
_cell_angle_alpha 90.00
_cell_angle_beta 90.00
_cell_angle_gamma 90.00
_space_group_name_H-M_alt 'P 4 m m'
_space_group_IT_number 99
loop_
_space_group_symop_operation_xyz
'x,y,z'
'-y,x,z'
'-x,-y,z'
'y,-x,z'
'-x,y,z'
'y,x,z'
'x,-y,z'
'-y,-x,z'
loop_
_atom_site_label
_atom_site_fract_x
_atom_site_fract_y
_atom_site_fract_z
Dy1 0.0000 0.0000 0.0000
Y1 0.5000 0.5000 0.5038
Ag1 0.0000 0.5000 0.2514
Bi1 0.0000 0.0000 0.4419
Bi2 0.0000 0.5000 0.7523
Bi3 0.5000 0.5000 0.0608
```

The 10 most intense peaks (10 to 90 degrees two-theta), sorted by position:
2θ = 26.00°, intensity 10, hkl 0 0 3
2θ = 26.23°, intensity 11, hkl 1 0 2
2θ = 29.23°, intensity 11, hkl 1 1 1
2θ = 32.97°, intensity 100, hkl 1 1 2
2θ = 34.91°, intensity 13, hkl 0 0 4
2θ = 39.84°, intensity 36, hkl 2 0 0
2θ = 48.19°, intensity 8, hkl 2 0 3
2θ = 53.99°, intensity 15, hkl 2 0 4
2θ = 57.59°, intensity 14, hkl 2 2 0
2θ = 67.99°, intensity 25, hkl 3 1 2


Entry 9:
Computed X-ray diffraction stick pattern of TbErAg2Bi4 for a wavelength of 1.5418 Å, from a cell relaxed with PBE.

Structural model:
```
data_TbErAg2Bi4
_cell_length_a 4.5248
_cell_length_b 4.5248
_cell_length_c 10.2380
_cell_angle_alpha 90.00
_cell_angle_beta 90.00
_cell_angle_gamma 90.00
_space_group_name_H-M_alt 'P 4 m m'
_space_group_IT_number 99
loop_
_space_group_symop_operation_xyz
'x,y,z'
'-y,x,z'
'-x,-y,z'
'y,-x,z'
'-x,y,z'
'y,x,z'
'x,-y,z'
'-y,-x,z'
loop_
_atom_site_label
_atom_site_fract_x
_atom_site_fract_y
_atom_site_fract_z
Tb1 0.0000 0.0000 0.0000
Er1 0.5000 0.5000 0.4962
Ag1 0.0000 0.5000 0.7474
Bi1 0.0000 0.0000 0.5568
Bi2 0.0000 0.5000 0.2487
Bi3 0.5000 0.5000 0.9384
```

The 10 most intense peaks (10 to 90 degrees two-theta), sorted by position:
2θ = 26.11°, intensity 8, hkl 0 0 3
2θ = 26.29°, intensity 9, hkl 1 0 2
2θ = 29.24°, intensity 9, hkl 1 1 1
2θ = 33.01°, intensity 100, hkl 1 1 2
2θ = 35.06°, intensity 13, hkl 0 0 4
2θ = 39.85°, intensity 36, hkl 2 0 0
2θ = 54.10°, intensity 15, hkl 2 0 4
2θ = 57.62°, intensity 12, hkl 2 2 0
2θ = 68.03°, intensity 25, hkl 3 1 2
2θ = 69.26°, intensity 7, hkl 2 2 4


Entry 10:
Computed X-ray diffraction stick pattern of AgBiSF2 for a wavelength of 1.5418 Å, from a cell relaxed with PBE.

Structural model:
```
data_AgBiSF2
_cell_length_a 3.7891
_cell_length_b 13.7046
_cell_length_c 7.3702
_cell_angle_alpha 90.00
_cell_angle_beta 90.00
_cell_angle_gamma 90.00
_space_group_name_H-M_alt 'C m c m'
_space_group_IT_number 63
_space_group_name_Hall '-C 2c 2'
loop_
_atom_site_label
_atom_site_fract_x
_atom_site_fract_y
_atom_site_fract_z
Ag1 0.0000 0.0000 0.0000
Bi1 0.0000 0.2576 0.2500
S1 0.0000 0.1032 0.7500
F1 0.0000 0.3120 0.5616
```

The 10 most intense peaks (10 to 90 degrees two-theta), sorted by position:
2θ = 12.92°, intensity 41, hkl 0 2 0
2θ = 26.01°, intensity 57, hkl 0 4 0
2θ = 27.25°, intensity 71, hkl 1 1 1
2θ = 27.48°, intensity 100, hkl 0 2 2
2θ = 33.03°, intensity 79, hkl 1 3 1
2θ = 42.51°, intensity 33, hkl 1 5 1
2θ = 44.44°, intensity 32, hkl 1 1 3
2θ = 46.79°, intensity 35, hkl 0 6 2
2θ = 48.45°, intensity 32, hkl 1 3 3
2θ = 56.22°, intensity 28, hkl 2 2 2


Entry 11:
Computed X-ray diffraction stick pattern of AgBi2Se3F for a wavelength of 1.5418 Å, from a cell relaxed with PBE.

Structural model:
```
data_AgBi2Se3F
_cell_length_a 7.8399
_cell_length_b 4.0656
_cell_length_c 11.1826
_cell_angle_alpha 90.00
_cell_angle_beta 107.38
_cell_angle_gamma 90.00
_space_group_name_H-M_alt 'P 1 21/m 1'
_space_group_IT_number 11
loop_
_space_group_symop_operation_xyz
'x,y,z'
'-x,-y,-z'
'-x,y+1/2,-z'
'x,-y+1/2,z'
loop_
_atom_site_label
_atom_site_fract_x
_atom_site_fract_y
_atom_site_fract_z
Ag1 0.0398 0.2500 0.4129
Bi1 0.2168 0.2500 0.9542
Bi2 0.4894 0.7500 0.6674
Se1 0.0428 0.2500 0.1524
Se2 0.2257 0.2500 0.6818
Se3 0.2977 0.7500 0.4192
F1 0.3805 0.7500 0.0558
```

The 10 most intense peaks (10 to 90 degrees two-theta), sorted by position:
2θ = 24.93°, intensity 51, hkl 1 1 0
2θ = 25.03°, intensity 62, hkl 0 0 3
2θ = 25.13°, intensity 73, hkl 1 1 -1
2θ = 31.73°, intensity 100, hkl 2 1 -1
2θ = 32.08°, intensity 59, hkl 1 0 -4
2θ = 32.53°, intensity 45, hkl 2 1 0
2θ = 33.16°, intensity 53, hkl 2 1 -2
2θ = 35.42°, intensity 84, hkl 2 1 1
2θ = 39.14°, intensity 86, hkl 1 1 -4
2θ = 44.57°, intensity 66, hkl 0 2 0


Entry 12:
Computed X-ray diffraction stick pattern of GaAgBi for a wavelength of 1.5418 Å, from a cell relaxed with PBE.

Structural model:
```
data_GaAgBi
_cell_length_a 6.9199
_cell_length_b 6.9199
_cell_length_c 6.9199
_cell_angle_alpha 90.00
_cell_angle_beta 90.00
_cell_angle_gamma 90.00
_space_group_name_H-M_alt 'F -4 3 m'
_space_group_IT_number 216
_space_group_name_Hall 'F -4 2 3'
loop_
_atom_site_label
_atom_site_fract_x
_atom_site_fract_y
_atom_site_fract_z
Ga1 0.0000 0.0000 0.0000
Ag1 0.0000 0.0000 0.5000
Bi1 0.2500 0.2500 0.7500
```

The 10 most intense peaks (10 to 90 degrees two-theta), sorted by position:
2θ = 22.25°, intensity 67, hkl 1 1 1
2θ = 36.73°, intensity 100, hkl 2 2 0
2θ = 43.37°, intensity 37, hkl 3 1 1
2θ = 52.93°, intensity 17, hkl 4 0 0
2θ = 58.11°, intensity 16, hkl 3 3 1
2θ = 66.16°, intensity 35, hkl 4 2 2
2θ = 70.74°, intensity 12, hkl 5 1 1
2θ = 78.13°, intensity 11, hkl 4 4 0
2θ = 82.46°, intensity 12, hkl 5 3 1
2θ = 89.59°, intensity 17, hkl 6 2 0